For Sr6Rh5O15, a structure optimized by DFT (PBE) gives the computed powder X-ray diffraction pattern in this record (a wavelength of 1.5418 Å).
Kinematic intensities with the Lorentz-polarization factor, no thermal factor.

Main lines, by intensity (5 to 70 degrees two-theta):
2θ = 31.6°, d 2.828, I = 100, (3 0 0); 2θ = 27.2°, d 3.278, I = 54, (1 1 3); 2θ = 18.1°, d 4.898, I = 48, (1 1 0); 2θ = 42.2°, d 2.141, I = 32, (2 2 3); 2θ = 44.4°, d 2.042, I = 31, (1 2 5); 2θ = 56.3°, d 1.633, I = 20, (3 3 0); 2θ = 40.2°, d 2.246, I = 20, (2 0 5); 2θ = 58.9°, d 1.568, I = 17, (2 3 5); 2θ = 66.1°, d 1.414, I = 16, (6 0 0); 2θ = 52.0°, d 1.759, I = 14, (3 1 5)

Structure:
Cell: 9.7967 9.7967 13.2366 Å, 90.00 90.00 120.00°
Space group R32 (No. 155, hexagonal axes)
Asymmetric unit:
1 Sr 0.0000 0.3173 0.0000 x9
2 Sr 0.0000 0.6472 0.5000 x9
3 Rh 0.0000 0.0000 0.0968 x6
4 Rh 0.0000 0.0000 0.2925 x6
5 Rh 0.0000 0.0000 0.5000 x3
6 O 0.0000 0.8351 0.0000 x9
7 O 0.0192 0.1748 0.1922 x18
8 O 0.0496 0.8760 0.6066 x18